(1)
Simulated XRD peak list
Compound: PmU2Te6
Radiation: Cu Kα (λ = 1.5418 Å)
Structure: a DFT-relaxed cell (PBE, Alexandria)
Lines closer than 0.1° are merged.

The 8 most intense peaks (10° ≤ 2θ ≤ 90°), sorted by position:
2theta  I_rel
19.61  1000
23.36  441
32.24  367
32.83  421
35.25  432
37.11  399
39.45  292
44.68  330

Unit cell a=11.776 b=11.776 c=11.776 alpha=151.81 beta=151.81 gamma=40.30
Sites, in units of the cell vectors:
1 Pm 0.000 0.000 0.000
2 U 0.309 0.309 0.000
3 U 0.691 0.691 0.000
4 Te 0.176 0.639 0.000
5 Te 0.250 0.750 0.500
6 Te 0.361 0.361 0.537
7 Te 0.639 0.176 0.000
8 Te 0.750 0.250 0.500
9 Te 0.824 0.824 0.463

(2)
Simulated XRD peak list
Compound: Li3Pa3NiS8
Radiation: Cu Kα (λ = 1.5418 Å)
Structure: a DFT-relaxed cell (PBE, Alexandria)
Lines closer than 0.1° are merged.

The 8 most intense peaks (10° ≤ 2θ ≤ 90°), sorted by position:
2theta  I_rel
14.18  1000
27.52  618
28.76  233
33.28  705
36.34  286
47.65  251
47.89  248
50.20  240

Unit cell a=7.594 b=7.594 c=7.632 alpha=119.82 beta=119.82 gamma=60.09
Sites, in units of the cell vectors:
1 Li 0.000 0.000 0.000
2 Li 0.000 0.500 0.000
3 Li 0.500 0.000 0.000
4 Pa 0.000 0.500 0.500
5 Pa 0.500 0.000 0.500
6 Pa 0.500 0.500 0.500
7 Ni 0.000 0.000 0.500
8 S 0.235 0.235 0.737
9 S 0.236 0.762 0.261
10 S 0.238 0.764 0.739
11 S 0.244 0.244 0.233
12 S 0.756 0.756 0.767
13 S 0.762 0.236 0.261
14 S 0.764 0.238 0.739
15 S 0.765 0.765 0.263